TbMoBrO4: simulated powder XRD pattern (Cu Kα (λ = 1.5418 Å)), based on the GGA+U geometry in Alexandria.
Neutral-atom scattering factors, no anomalous dispersion.

Atomic structure:
```
data_TbMoBrO4
_space_group_name_H-M_alt 'P 1'
_space_group_IT_number 1
_space_group_name_Hall 'P 1'
_cell_length_a 7.075
_cell_length_b 7.373
_cell_length_c 10.998
_cell_angle_alpha 103.20
_cell_angle_beta 107.79
_cell_angle_gamma 95.09
loop_
_atom_site_label
_atom_site_type_symbol
_atom_site_fract_x
_atom_site_fract_y
_atom_site_fract_z
Tb1 Tb 0.123 0.337 0.232
Tb2 Tb 0.165 0.097 0.729
Tb3 Tb 0.835 0.903 0.271
Tb4 Tb 0.877 0.663 0.768
Mo1 Mo 0.227 0.819 0.135
Mo2 Mo 0.271 0.582 0.628
Mo3 Mo 0.729 0.418 0.372
Mo4 Mo 0.773 0.181 0.865
Br1 Br 0.235 0.987 0.479
Br2 Br 0.306 0.278 0.012
Br3 Br 0.694 0.722 0.988
Br4 Br 0.765 0.013 0.521
O1 O 0.096 0.012 0.189
O2 O 0.152 0.631 0.197
O3 O 0.155 0.741 0.959
O4 O 0.155 0.774 0.702
O5 O 0.173 0.502 0.450
O6 O 0.223 0.391 0.695
O7 O 0.464 0.349 0.326
O8 O 0.493 0.890 0.203
O9 O 0.507 0.110 0.797
O10 O 0.536 0.651 0.674
O11 O 0.777 0.609 0.305
O12 O 0.827 0.498 0.550
O13 O 0.845 0.226 0.298
O14 O 0.845 0.259 0.041
O15 O 0.848 0.369 0.803
O16 O 0.904 0.988 0.811
```

The 8 most intense peaks (15° ≤ 2θ ≤ 90°), by intensity:
2θ/deg	I (rel.)	index
24.33	1000	0 2 -1
25.52	409	1 0 2
30.51	300	-1 1 3
26.86	290	2 0 0
33.15	229	1 1 -4
17.59	206	0 0 2
27.27	194	-2 1 1
29.55	185	2 1 -2